Starting from DFT lattice parameters and positions (GGA+U), the X-ray powder pattern of Sr4LaCrFe4O15 was simulated for Cu Kα (weighted mean of Kα1 and Kα2).

```
data_Sr4LaCrFe4O15
_cell_length_a 16.5780
_cell_length_b 5.5393
_cell_length_c 6.7768
_cell_angle_alpha 90.00
_cell_angle_beta 105.69
_cell_angle_gamma 90.00
_symmetry_space_group_name_H-M 'C 1 m 1'
_symmetry_Int_Tables_number 8
loop_
_symmetry_equiv_pos_as_xyz
'x,y,z'
'x,-y,z'
'x+1/2,y+1/2,z'
'x+1/2,-y+1/2,z'
loop_
_atom_site_label
_atom_site_fract_x
_atom_site_fract_y
_atom_site_fract_z
_atom_site_occupancy
Sr1 0.0000 0.0000 0.0000 1
Sr2 0.0991 0.5000 0.3985 1
Sr3 0.1998 0.0000 0.7988 1
Sr4 0.2993 0.5000 0.2001 1
La1 0.3982 0.0000 0.6011 1
Cr1 0.2984 0.5000 0.6998 1
Fe1 0.0000 0.0000 0.5004 1
Fe2 0.0999 0.5000 0.9008 1
Fe3 0.1995 0.0000 0.2985 1
Fe4 0.3992 0.0000 0.0988 1
O1 0.0459 0.2548 0.6996 1
O2 0.1006 0.0000 0.4036 1
O3 0.1498 0.2510 0.0970 1
O4 0.2008 0.5000 0.7903 1
O5 0.2554 0.2459 0.5011 1
O6 0.3015 0.0000 0.2012 1
O7 0.3509 0.2465 0.8900 1
O8 0.3989 0.5000 0.6007 1
O9 0.4488 0.2466 0.3064 1
O10 0.4978 0.0000 0.9980 1
```

Principal peaks in the range 2θ from 5° to 70°, by intensity:
- d = 2.767 Å, rel. 1000, hkl 5 1 0
- d = 1.597 Å, rel. 378, hkl 10 0 0
- d = 1.958 Å, rel. 249, hkl 2 2 2
- d = 2.259 Å, rel. 149, hkl 6 0 1
- d = 1.383 Å, rel. 141, hkl 10 2 0
- d = 1.953 Å, rel. 123, hkl 8 0 -2
- d = 1.385 Å, rel. 71, hkl 0 4 0
- d = 3.913 Å, rel. 27, hkl 4 0 -1
- d = 1.751 Å, rel. 13, hkl 6 2 1
- d = 7.980 Å, rel. 11, hkl 2 0 0